For UCu4Mo2O16, a crystal structure in the Materials Project, relaxed with GGA+U gives the simulated powder diffractogram in this record (a wavelength of 1.5418 Å).

Principal peaks in the range 2θ = 10–90°, low angle first:
| d/Å | 2θ (°) | Rel. int. |
| --- | --- | --- |
| 5.148 | 17.2 | 1000 |
| 4.502 | 19.7 | 349 |
| 4.306 | 20.6 | 411 |
| 3.985 | 22.3 | 827 |
| 3.680 | 24.2 | 735 |
| 3.389 | 26.3 | 516 |
| 2.567 | 35.0 | 291 |
| 2.451 | 36.7 | 410 |
| 2.183 | 41.4 | 354 |
| 1.969 | 46.1 | 274 |

Atomic structure:
```
UCu4Mo2O16
1.0
10.544 -2.982 0.000
10.544 2.982 0.000
-1.155 0.000 5.234
U Cu Mo O
1 4 2 16
direct
0.000 0.000 0.000
0.000 0.500 0.000
0.251 0.251 0.503
0.500 0.000 0.000
0.749 0.749 0.497
0.417 0.417 0.304
0.583 0.583 0.696
0.030 0.541 0.708
0.060 0.060 0.298
0.185 0.692 0.152
0.206 0.206 0.864
0.308 0.815 0.848
0.330 0.330 0.262
0.450 0.450 0.632
0.459 0.970 0.292
0.541 0.030 0.708
0.550 0.550 0.368
0.670 0.670 0.738
0.692 0.185 0.152
0.794 0.794 0.136
0.815 0.308 0.848
0.940 0.940 0.702
0.970 0.459 0.292
```